Entry 1:
Diffraction record for LiCu3I4. The PXRD pattern is theoretical, not measured: it uses a structure optimized by DFT (PBE) and Cu Kα (weighted mean of Kα1 and Kα2).
Neutral-atom scattering factors, no anomalous dispersion.

The 10 most intense peaks (15° ≤ 2θ ≤ 90°), most intense first:
- d = 3.519 Å, rel. 100
- d = 2.155 Å, rel. 67
- d = 1.838 Å, rel. 46
- d = 1.244 Å, rel. 21
- d = 1.398 Å, rel. 18
- d = 3.047 Å, rel. 14
- d = 1.173 Å, rel. 14
- d = 1.524 Å, rel. 11
- d = 1.363 Å, rel. 5
- d = 2.726 Å, rel. 4

Cell and atoms:
abc: 6.0947 6.0947 6.0947
angles: 90.00 90.00 90.00
Positions (direct):
Li 0.0000 0.0000 0.0000
Cu 0.0000 0.0000 0.5000
Cu 0.0000 0.5000 0.0000
Cu 0.5000 0.0000 0.0000
I 0.2558 0.2558 0.2558
I 0.2558 0.7442 0.7442
I 0.7442 0.2558 0.7442
I 0.7442 0.7442 0.2558

Entry 2:
Diffraction record for CeEr6In3. The PXRD pattern is theoretical, not measured: it uses a structure optimized by DFT (PBE) and Cu Kα (weighted mean of Kα1 and Kα2).
Neutral-atom scattering factors, no anomalous dispersion.

The 10 most intense peaks (15° ≤ 2θ ≤ 90°), most intense first:
- d = 2.860 Å, rel. 100
- d = 2.826 Å, rel. 86
- d = 2.429 Å, rel. 27
- d = 2.375 Å, rel. 24
- d = 1.474 Å, rel. 23
- d = 1.547 Å, rel. 23
- d = 2.339 Å, rel. 22
- d = 2.599 Å, rel. 21
- d = 1.755 Å, rel. 15
- d = 1.374 Å, rel. 12

Cell and atoms:
abc: 9.1164 9.1164 7.7036
angles: 90.00 90.00 110.48
Positions (direct):
Ce 0.2237 0.7763 0.5000
Ce 0.7763 0.2237 0.0000
Er 0.0538 0.9462 0.2162
Er 0.0740 0.4520 0.7106
Er 0.2345 0.3033 0.0243
Er 0.2976 0.7024 0.0392
Er 0.3033 0.2345 0.5243
Er 0.4520 0.0740 0.2106
Er 0.5480 0.9260 0.7106
Er 0.6967 0.7655 0.0243
Er 0.7024 0.2976 0.5392
Er 0.7655 0.6967 0.5243
Er 0.9260 0.5480 0.2106
Er 0.9462 0.0538 0.7162
In 0.0168 0.2771 0.3481
In 0.2771 0.0168 0.8481
In 0.4466 0.5534 0.7365
In 0.5534 0.4466 0.2365
In 0.7229 0.9832 0.3481
In 0.9832 0.7229 0.8481

Entry 3:
Diffraction record for La3Dy6Th. The PXRD pattern is theoretical, not measured: it uses a structure optimized by DFT (PBE) and Cu Kα (weighted mean of Kα1 and Kα2).
Neutral-atom scattering factors, no anomalous dispersion.

The 10 most intense peaks (15° ≤ 2θ ≤ 90°), most intense first:
- d = 2.875 Å, rel. 100
- d = 3.086 Å, rel. 67
- d = 1.698 Å, rel. 23
- d = 2.104 Å, rel. 23
- d = 1.660 Å, rel. 20
- d = 1.623 Å, rel. 16
- d = 2.791 Å, rel. 16
- d = 2.187 Å, rel. 14
- d = 1.438 Å, rel. 12
- d = 1.268 Å, rel. 11

Cell and atoms:
abc: 6.9668 6.9668 6.9668
angles: 91.27 91.27 91.27
Positions (direct):
La 0.0000 0.0000 0.0000
La 0.2416 0.2416 0.2416
La 0.4853 0.4853 0.4853
Dy 0.0667 0.4196 0.7422
Dy 0.2409 0.9128 0.5717
Dy 0.4196 0.7422 0.0667
Dy 0.5717 0.2409 0.9128
Dy 0.7422 0.0667 0.4196
Dy 0.9128 0.5717 0.2409
Th 0.7402 0.7402 0.7402

Entry 4:
Diffraction record for K2S13. The PXRD pattern is theoretical, not measured: it uses a structure optimized by DFT (PBE) and Cu Kα (weighted mean of Kα1 and Kα2).
Neutral-atom scattering factors, no anomalous dispersion.

The 10 most intense peaks (15° ≤ 2θ ≤ 90°), most intense first:
- d = 2.851 Å, rel. 100
- d = 3.931 Å, rel. 96
- d = 3.542 Å, rel. 62
- d = 2.691 Å, rel. 55
- d = 4.550 Å, rel. 48
- d = 2.069 Å, rel. 36
- d = 2.041 Å, rel. 34
- d = 3.046 Å, rel. 21
- d = 1.838 Å, rel. 18
- d = 1.583 Å, rel. 16

Cell and atoms:
abc: 9.1913 9.1913 9.1913
angles: 53.50 53.50 53.50
Positions (direct):
K 0.1282 0.1282 0.1282
K 0.8718 0.8718 0.8718
S 0.0000 0.0000 0.0000
S 0.1606 0.5607 0.5607
S 0.2552 0.2552 0.6619
S 0.2552 0.6619 0.2552
S 0.3381 0.7448 0.7448
S 0.4393 0.4393 0.8394
S 0.4393 0.8394 0.4393
S 0.5607 0.1606 0.5607
S 0.5607 0.5607 0.1606
S 0.6619 0.2552 0.2552
S 0.7448 0.3381 0.7448
S 0.7448 0.7448 0.3381
S 0.8394 0.4393 0.4393